For RbSm3F10, the PBE geometry in the Materials Project gives the simulated powder diffractogram in this record (Cu Kα (λ = 1.5418 Å)).

Top 8 peaks for 5 to 70 degrees two-theta, in order of rising 2θ:
| two_theta | d_spacing | I_rel |
| --- | --- | --- |
| 20.9 | 4.250 | 76 |
| 25.7 | 3.470 | 1000 |
| 29.7 | 3.005 | 415 |
| 42.5 | 2.125 | 486 |
| 50.3 | 1.812 | 568 |
| 52.8 | 1.735 | 134 |
| 61.7 | 1.503 | 83 |
| 68.0 | 1.379 | 198 |

```
data_RbSm3F10
_space_group_name_H-M_alt 'F m -3 m'
_space_group_IT_number 225
_space_group_name_Hall '-F 4 2 3'
_cell_length_a 12.0215
_cell_length_b 12.0215
_cell_length_c 12.0215
_cell_angle_alpha 90.00
_cell_angle_beta 90.00
_cell_angle_gamma 90.00
loop_
_atom_site_label
_atom_site_type_symbol
_atom_site_fract_x
_atom_site_fract_y
_atom_site_fract_z
Rb1 Rb 0.2500 0.2500 0.2500
Sm1 Sm 0.0000 0.0000 0.2401
F1 F 0.0000 0.1649 0.3351
F2 F 0.1107 0.1107 0.1107
```

For MgAl2P2O10, the PBE geometry in the Materials Project gives the simulated powder diffractogram in this record (Cu Kα (λ = 1.5418 Å)).

Top 8 peaks for 5 to 70 degrees two-theta, in order of rising 2θ:
| two_theta | d_spacing | I_rel |
| --- | --- | --- |
| 18.5 | 4.788 | 138 |
| 27.6 | 3.228 | 421 |
| 27.9 | 3.202 | 1000 |
| 28.4 | 3.141 | 324 |
| 34.4 | 2.610 | 169 |
| 38.8 | 2.323 | 98 |
| 57.4 | 1.605 | 140 |
| 57.6 | 1.599 | 117 |

```
data_MgAl2P2O10
_space_group_name_H-M_alt 'P 1 21/c 1'
_space_group_IT_number 14
_cell_length_a 7.1573
_cell_length_b 7.4996
_cell_length_c 7.0896
_cell_angle_alpha 90.00
_cell_angle_beta 118.65
_cell_angle_gamma 90.00
loop_
_space_group_symop_operation_xyz
'x,y,z'
'-x,-y,-z'
'-x,y+1/2,-z+1/2'
'x,-y+1/2,z+1/2'
loop_
_atom_site_label
_atom_site_type_symbol
_atom_site_fract_x
_atom_site_fract_y
_atom_site_fract_z
Mg1 Mg 0.0000 0.0000 0.0000
Al1 Al 0.2676 0.2323 0.7727
P1 P 0.2516 0.6143 0.0088
O1 O 0.0535 0.7435 0.9193
O2 O 0.2168 0.0092 0.3176
O3 O 0.2291 0.1722 0.0070
O4 O 0.2660 0.5036 0.1957
O5 O 0.4449 0.7349 0.0778
```

For Ca4Hg9, the PBE geometry in the Materials Project gives the simulated powder diffractogram in this record (Cu Kα (λ = 1.5418 Å)).

Top 8 peaks for 5 to 70 degrees two-theta, in order of rising 2θ:
| two_theta | d_spacing | I_rel |
| --- | --- | --- |
| 17.8 | 4.975 | 52 |
| 19.5 | 4.542 | 85 |
| 24.0 | 3.708 | 134 |
| 34.2 | 2.622 | 1000 |
| 49.1 | 1.854 | 131 |
| 57.4 | 1.606 | 44 |
| 61.2 | 1.514 | 253 |
| 68.5 | 1.369 | 92 |

```
data_Ca4Hg9
_space_group_name_H-M_alt 'P -4 3 m'
_space_group_IT_number 215
_space_group_name_Hall 'P -4 2 3'
_cell_length_a 11.1254
_cell_length_b 11.1254
_cell_length_c 11.1254
_cell_angle_alpha 90.00
_cell_angle_beta 90.00
_cell_angle_gamma 90.00
loop_
_atom_site_label
_atom_site_type_symbol
_atom_site_fract_x
_atom_site_fract_y
_atom_site_fract_z
Ca1 Ca 0.0362 0.3086 0.3086
Ca2 Ca 0.3658 0.3658 0.6342
Hg1 Hg 0.0000 0.0000 0.3524
Hg2 Hg 0.1049 0.1049 0.1049
Hg3 Hg 0.1382 0.5000 0.5000
Hg4 Hg 0.1761 0.1761 0.5250
Hg5 Hg 0.1842 0.1842 0.8158
Hg6 Hg 0.3405 0.3405 0.3405
```

For LaSbPt, the PBE geometry in the Materials Project gives the simulated powder diffractogram in this record (Cu Kα (λ = 1.5418 Å)).

Top 8 peaks for 5 to 70 degrees two-theta, in order of rising 2θ:
| two_theta | d_spacing | I_rel |
| --- | --- | --- |
| 10.3 | 8.562 | 520 |
| 20.8 | 4.281 | 285 |
| 30.2 | 2.955 | 1000 |
| 32.8 | 2.729 | 273 |
| 34.7 | 2.584 | 505 |
| 37.1 | 2.423 | 287 |
| 39.8 | 2.266 | 565 |
| 46.7 | 1.945 | 254 |

```
data_LaSbPt
_space_group_name_H-M_alt 'C 1 2/m 1'
_space_group_IT_number 12
_cell_length_a 7.5887
_cell_length_b 5.1677
_cell_length_c 8.5892
_cell_angle_alpha 90.00
_cell_angle_beta 94.55
_cell_angle_gamma 90.00
loop_
_space_group_symop_operation_xyz
'x,y,z'
'-x,-y,-z'
'-x,y,-z'
'x,-y,z'
'x+1/2,y+1/2,z'
'-x+1/2,-y+1/2,-z'
'-x+1/2,y+1/2,-z'
'x+1/2,-y+1/2,z'
loop_
_atom_site_label
_atom_site_type_symbol
_atom_site_fract_x
_atom_site_fract_y
_atom_site_fract_z
La1 La 0.0232 0.0000 0.2053
Sb1 Sb 0.1903 0.5000 0.4518
Pt1 Pt 0.1909 0.5000 0.0052
```